Starting from the GGA+U geometry in Alexandria, the XRD peak list of TcPbWO6 was computed for Cu Kα X-rays.

Cell and atoms:
```
data_TcPbWO6
_chemical_formula_sum 'Tc4 Pb4 W4 O24'
_symmetry_space_group_name_H-M 'I m m a'
_symmetry_Int_Tables_number 74
_symmetry_space_group_name_Hall '-I 2b 2'
_cell_length_a 7.160
_cell_length_b 7.472
_cell_length_c 10.560
_cell_angle_alpha 90.00
_cell_angle_beta 90.00
_cell_angle_gamma 90.00
loop_
_atom_site_label
_atom_site_fract_x
_atom_site_fract_y
_atom_site_fract_z
Tc1 0.250 0.250 0.250
Pb1 0.000 0.250 0.715
W1 0.000 0.000 0.000
O1 0.000 0.250 0.296
O2 0.000 0.250 0.936
O3 0.190 0.055 0.123
```

The 10 most intense peaks (2θ = 10–80°), sorted by position:
14.9°, I = 63, hkl 1 0 1; 24.9°, I = 24, hkl 2 0 0; 28.2°, I = 99, hkl 1 0 3; 28.9°, I = 86, hkl 2 1 1; 29.3°, I = 100, hkl 0 2 2; 37.8°, I = 23, hkl 2 1 3; 38.8°, I = 31, hkl 2 2 2; 45.9°, I = 27, hkl 3 0 3; 51.3°, I = 31, hkl 1 2 5; 59.9°, I = 27, hkl 4 2 2